Entry 1:
This entry pairs a crystal structure of Ho3Tl7 with its computed PXRD pattern. Radiation: a wavelength of 1.5418 Å. Structure: a structure optimized by DFT (GGA-PBE).
Neutral-atom scattering factors, no anomalous dispersion.

```
data_Ho3Tl7
_symmetry_space_group_name_H-M 'C 1 2/m 1'
_symmetry_Int_Tables_number 12
_cell_length_a 17.5393
_cell_length_b 4.7653
_cell_length_c 6.6361
_cell_angle_alpha 90.00
_cell_angle_beta 102.08
_cell_angle_gamma 90.00
loop_
_symmetry_equiv_pos_as_xyz
'x,y,z'
'-x,-y,-z'
'-x,y,-z'
'x,-y,z'
'x+1/2,y+1/2,z'
'-x+1/2,-y+1/2,-z'
'-x+1/2,y+1/2,-z'
'x+1/2,-y+1/2,z'
loop_
_atom_site_label
_atom_site_type_symbol
_atom_site_fract_x
_atom_site_fract_y
_atom_site_fract_z
_atom_site_occupancy
Ho1 Ho 0.0000 0.0000 0.0000 1
Ho2 Ho 0.1882 0.0000 0.6114 1
Tl1 Tl 0.0000 0.0000 0.5000 1
Tl2 Tl 0.0958 0.5000 0.8114 1
Tl3 Tl 0.1078 0.5000 0.3050 1
Tl4 Tl 0.2054 0.0000 0.1219 1
```

Peak list (10 most intense, 10° ≤ 2θ ≤ 90°, most intense first)
h k l	two_theta	d/Å	Rel. int.
5 1 0	32.15	2.784	100
1 1 -2	32.90	2.723	96
0 2 0	37.76	2.383	34
6 0 -2	37.32	2.410	33
4 0 2	38.12	2.361	32
5 3 0	64.69	1.441	26
4 2 2	54.74	1.677	22
6 2 -2	54.13	1.694	22
1 3 -2	65.11	1.433	14
3 1 4	66.04	1.415	12

Entry 2:
This entry pairs a crystal structure of Ho3Tl2 with its computed PXRD pattern. Radiation: a wavelength of 1.5418 Å. Structure: a structure optimized by DFT (GGA-PBE).
Neutral-atom scattering factors, no anomalous dispersion.

```
data_Ho3Tl2
_symmetry_space_group_name_H-M 'I 41/a m d'
_symmetry_Int_Tables_number 141
_cell_length_a 6.0931
_cell_length_b 6.0931
_cell_length_c 15.5525
_cell_angle_alpha 90.00
_cell_angle_beta 90.00
_cell_angle_gamma 90.00
loop_
_symmetry_equiv_pos_as_xyz
'x,y,z'
'-x,-y,-z'
'-y+1/4,x+3/4,z+1/4'
'y+1/4,-x+3/4,-z+1/4'
'-x+1/2,-y,z+1/2'
'x+1/2,y,-z+1/2'
'y+1/4,-x+1/4,z+3/4'
'-y+1/4,x+1/4,-z+3/4'
'x,-y,-z'
'-x,y,z'
'-y+1/4,-x+1/4,-z+3/4'
'y+1/4,x+1/4,z+3/4'
'-x+1/2,y,-z+1/2'
'x+1/2,-y,z+1/2'
'y+1/4,x+3/4,-z+1/4'
'-y+1/4,-x+3/4,z+1/4'
'x+1/2,y+1/2,z+1/2'
'-x+1/2,-y+1/2,-z+1/2'
'-y+3/4,x+1/4,z+3/4'
'y+3/4,-x+1/4,-z+3/4'
'-x,-y+1/2,z'
'x,y+1/2,-z'
'y+3/4,-x+3/4,z+1/4'
'-y+3/4,x+3/4,-z+1/4'
'x+1/2,-y+1/2,-z+1/2'
'-x+1/2,y+1/2,z+1/2'
'-y+3/4,-x+3/4,-z+1/4'
'y+3/4,x+3/4,z+1/4'
'-x,y+1/2,-z'
'x,-y+1/2,z'
'y+3/4,x+1/4,-z+3/4'
'-y+3/4,-x+1/4,z+3/4'
loop_
_atom_site_label
_atom_site_type_symbol
_atom_site_fract_x
_atom_site_fract_y
_atom_site_fract_z
_atom_site_occupancy
Ho1 Ho 0.0000 0.0000 0.0000 1
Ho2 Ho 0.0000 0.2500 0.3750 1
Tl1 Tl 0.0000 0.2500 0.1788 1
```

Peak list (10 most intense, 10° ≤ 2θ ≤ 90°, most intense first)
h k l	two_theta	d/Å	Rel. int.
1 0 5	32.31	2.770	100
2 1 1	33.38	2.684	81
2 0 0	29.32	3.047	65
2 0 2	31.54	2.837	36
2 1 3	37.28	2.412	36
2 2 4	48.30	1.884	35
3 0 5	53.91	1.701	24
4 1 5	70.56	1.335	22
4 0 0	60.81	1.523	21
3 2 1	54.63	1.680	20

Entry 3:
This entry pairs a crystal structure of Ho5Tl2 with its computed PXRD pattern. Radiation: a wavelength of 1.5418 Å. Structure: a structure optimized by DFT (GGA-PBE).
Neutral-atom scattering factors, no anomalous dispersion.

```
data_Ho5Tl2
_symmetry_space_group_name_H-M 'C m c m'
_symmetry_Int_Tables_number 63
_symmetry_space_group_name_Hall '-C 2c 2'
_cell_length_a 4.6064
_cell_length_b 38.6337
_cell_length_c 4.6539
_cell_angle_alpha 90.00
_cell_angle_beta 90.00
_cell_angle_gamma 90.00
loop_
_atom_site_label
_atom_site_type_symbol
_atom_site_fract_x
_atom_site_fract_y
_atom_site_fract_z
_atom_site_occupancy
Ho1 Ho 0.0000 0.0330 0.2500 1
Ho2 Ho 0.0000 0.1101 0.7500 1
Ho3 Ho 0.0000 0.2549 0.2500 1
Ho4 Ho 0.0000 0.3260 0.7500 1
Ho5 Ho 0.0000 0.4619 0.2500 1
Tl1 Tl 0.0000 0.1906 0.7500 1
Tl2 Tl 0.0000 0.4056 0.7500 1
```

Peak list (10 most intense, 10° ≤ 2θ ≤ 90°, most intense first)
h k l	two_theta	d/Å	Rel. int.
1 9 1	34.45	2.603	100
1 5 1	29.63	3.014	80
0 14 0	32.44	2.760	35
0 0 2	38.70	2.327	35
2 0 0	39.11	2.303	34
2 0 2	56.19	1.637	24
1 1 1	27.34	3.262	23
0 14 2	51.36	1.779	19
2 14 0	51.70	1.768	19
2 14 2	66.40	1.408	18

Entry 4:
This entry pairs a crystal structure of Ho7Tl3 with its computed PXRD pattern. Radiation: a wavelength of 1.5418 Å. Structure: a structure optimized by DFT (GGA-PBE).
Neutral-atom scattering factors, no anomalous dispersion.

```
data_Ho7Tl3
_symmetry_space_group_name_H-M 'P 63 m c'
_symmetry_Int_Tables_number 186
_symmetry_space_group_name_Hall 'P 6c -2c'
_cell_length_a 10.4848
_cell_length_b 10.4848
_cell_length_c 6.3478
_cell_angle_alpha 90.00
_cell_angle_beta 90.00
_cell_angle_gamma 120.00
loop_
_atom_site_label
_atom_site_type_symbol
_atom_site_fract_x
_atom_site_fract_y
_atom_site_fract_z
_atom_site_occupancy
Ho1 Ho 0.0596 0.5298 0.0000 1
Ho2 Ho 0.1286 0.2573 0.2535 1
Ho3 Ho 0.3333 0.6667 0.4346 1
Tl1 Tl 0.1915 0.3829 0.7128 1
```

Peak list (10 most intense, 10° ≤ 2θ ≤ 90°, most intense first)
h k l	two_theta	d/Å	Rel. int.
3 0 0	29.57	3.021	100
3 0 1	32.78	2.732	99
2 2 0	34.21	2.621	84
2 0 2	34.48	2.601	84
1 0 2	29.82	2.996	38
3 3 0	52.39	1.747	36
5 2 1	65.90	1.417	33
4 1 1	48.11	1.891	30
2 1 2	38.64	2.330	25
3 2 3	62.57	1.484	24

Entry 5:
This entry pairs a crystal structure of Ho3Tm3Tl2 with its computed PXRD pattern. Radiation: a wavelength of 1.5418 Å. Structure: a structure optimized by DFT (GGA-PBE).
Neutral-atom scattering factors, no anomalous dispersion.

```
data_Ho3Tm3Tl2
_symmetry_space_group_name_H-M 'P m m m'
_symmetry_Int_Tables_number 47
_cell_length_a 4.8044
_cell_length_b 4.8091
_cell_length_c 9.6306
_cell_angle_alpha 90.00
_cell_angle_beta 90.00
_cell_angle_gamma 90.00
loop_
_symmetry_equiv_pos_as_xyz
'x,y,z'
'-x,-y,-z'
'-x,-y,z'
'x,y,-z'
'x,-y,-z'
'-x,y,z'
'-x,y,-z'
'x,-y,z'
loop_
_atom_site_label
_atom_site_type_symbol
_atom_site_fract_x
_atom_site_fract_y
_atom_site_fract_z
_atom_site_occupancy
Ho1 Ho 0.0000 0.0000 0.0000 1
Ho2 Ho 0.0000 0.0000 0.5000 1
Ho3 Ho 0.5000 0.5000 0.0000 1
Tm1 Tm 0.5000 0.0000 0.2507 1
Tm2 Tm 0.5000 0.5000 0.5000 1
Tl1 Tl 0.0000 0.5000 0.2507 1
```

Peak list (10 most intense, 10° ≤ 2θ ≤ 90°, most intense first)
h k l	two_theta	d/Å	Rel. int.
1 1 2	32.24	2.777	100
2 0 0	37.40	2.405	50
2 2 0	53.92	1.700	36
1 3 2	64.20	1.451	28
3 1 2	64.29	1.449	14
3 1 6	88.61	1.104	12
2 2 4	67.46	1.388	12
3 3 2	88.70	1.103	6
4 0 0	79.81	1.202	4
0 0 8	79.64	1.204	2

Entry 6:
This entry pairs a crystal structure of HoTm5Tl4 with its computed PXRD pattern. Radiation: a wavelength of 1.5418 Å. Structure: a structure optimized by DFT (GGA-PBE).
Neutral-atom scattering factors, no anomalous dispersion.

```
data_HoTm5Tl4
_symmetry_space_group_name_H-M 'P 4/m m m'
_symmetry_Int_Tables_number 123
_symmetry_space_group_name_Hall '-P 4 2'
_cell_length_a 3.5835
_cell_length_b 3.5835
_cell_length_c 21.3821
_cell_angle_alpha 90.00
_cell_angle_beta 90.00
_cell_angle_gamma 90.00
loop_
_atom_site_label
_atom_site_type_symbol
_atom_site_fract_x
_atom_site_fract_y
_atom_site_fract_z
_atom_site_occupancy
Ho1 Ho 0.0000 0.0000 0.0000 1
Tm1 Tm 0.5000 0.5000 0.1126 1
Tm2 Tm 0.5000 0.5000 0.3054 1
Tm3 Tm 0.5000 0.5000 0.5000 1
Tl1 Tl 0.0000 0.0000 0.2095 1
Tl2 Tl 0.0000 0.0000 0.4030 1
```

Peak list (10 most intense, 10° ≤ 2θ ≤ 90°, most intense first)
h k l	two_theta	d/Å	Rel. int.
1 0 5	32.60	2.747	100
1 1 0	35.42	2.534	42
2 1 5	61.82	1.501	33
1 1 10	56.30	1.634	18
2 0 0	50.97	1.792	15
0 0 10	42.27	2.138	10
2 0 10	68.30	1.373	10
3 1 0	85.74	1.133	7
3 0 5	84.15	1.150	7
1 0 15	71.19	1.325	7

Entry 7:
This entry pairs a crystal structure of Ho4Tm6Tl with its computed PXRD pattern. Radiation: a wavelength of 1.5418 Å. Structure: a structure optimized by DFT (GGA-PBE).
Neutral-atom scattering factors, no anomalous dispersion.

```
data_Ho4Tm6Tl
_symmetry_space_group_name_H-M 'P -6 m 2'
_symmetry_Int_Tables_number 187
_symmetry_space_group_name_Hall 'P -6 2'
_cell_length_a 10.6879
_cell_length_b 10.6879
_cell_length_c 3.4229
_cell_angle_alpha 90.00
_cell_angle_beta 90.00
_cell_angle_gamma 120.00
loop_
_atom_site_label
_atom_site_type_symbol
_atom_site_fract_x
_atom_site_fract_y
_atom_site_fract_z
_atom_site_occupancy
Ho1 Ho 0.0000 0.0000 0.0000 1
Ho2 Ho 0.0791 0.5395 0.5000 1
Tm1 Tm 0.1621 0.3242 0.0000 1
Tm2 Tm 0.3438 0.1719 0.5000 1
Tl1 Tl 0.6667 0.3333 0.0000 1
```

Peak list (10 most intense, 10° ≤ 2θ ≤ 90°, most intense first)
h k l	two_theta	d/Å	Rel. int.
2 0 1	32.54	2.752	100
2 2 0	33.54	2.672	90
4 2 1	59.33	1.558	40
2 2 2	64.68	1.441	27
3 0 1	39.31	2.292	25
2 1 0	25.46	3.498	24
4 0 1	47.42	1.917	24
1 1 1	31.03	2.882	18
2 1 1	36.73	2.447	17
3 0 0	28.94	3.085	17

Entry 8:
This entry pairs a crystal structure of HoTm6Tl with its computed PXRD pattern. Radiation: a wavelength of 1.5418 Å. Structure: a structure optimized by DFT (GGA-PBE).
Neutral-atom scattering factors, no anomalous dispersion.

```
data_HoTm6Tl
_symmetry_space_group_name_H-M 'A m m 2'
_symmetry_Int_Tables_number 38
_cell_length_a 5.3624
_cell_length_b 3.5369
_cell_length_c 24.9301
_cell_angle_alpha 90.00
_cell_angle_beta 90.00
_cell_angle_gamma 90.00
loop_
_symmetry_equiv_pos_as_xyz
'x,y,z'
'-x,-y,z'
'-x,y,z'
'x,-y,z'
'x,y+1/2,z+1/2'
'-x,-y+1/2,z+1/2'
'-x,y+1/2,z+1/2'
'x,-y+1/2,z+1/2'
loop_
_atom_site_label
_atom_site_type_symbol
_atom_site_fract_x
_atom_site_fract_y
_atom_site_fract_z
_atom_site_occupancy
Ho1 Ho 0.0000 0.0000 0.0000 1
Tm1 Tm 0.0000 0.0000 0.2431 1
Tm2 Tm 0.0000 0.0000 0.6203 1
Tm3 Tm 0.0000 0.0000 0.8668 1
Tm4 Tm 0.5000 0.0000 0.0779 1
Tm5 Tm 0.5000 0.0000 0.4465 1
Tm6 Tm 0.5000 0.0000 0.7008 1
Tl1 Tl 0.5000 0.0000 0.3173 1
```

Peak list (10 most intense, 10° ≤ 2θ ≤ 90°, most intense first)
h k l	two_theta	d/Å	Rel. int.
1 0 8	33.25	2.694	100
1 1 3	32.17	2.782	81
1 1 5	35.33	2.541	60
2 0 0	33.42	2.681	59
1 2 8	62.86	1.478	32
0 1 5	31.00	2.885	29
1 1 1	30.49	2.932	23
2 2 0	62.96	1.476	19
2 1 5	46.23	1.964	19
3 0 8	59.63	1.551	19